1.
Diffraction record for Mn4Zn10Fe. The powder diffraction line list is computed, not measured: it uses the PBE geometry in Alexandria and copper Kα.
Neutral-atom scattering factors, no anomalous dispersion.

Principal peaks in the range 2θ from 10° to 90°, by intensity:
two_theta, d/Å, I_rel
43.59, 2.076, 100
43.32, 2.089, 51
26.23, 3.397, 34
79.67, 1.203, 30
30.26, 2.954, 26
62.93, 1.477, 16
80.24, 1.196, 14
30.63, 2.919, 12
53.98, 1.699, 10
51.35, 1.779, 9

Cell lengths 7.2213, 7.2213, 7.2213 Å; angles 99.41, 99.41, 132.31 degrees
Fractional positions:
Mn: 0.0991 0.2973 0.3964
Mn: 0.2973 0.9009 0.1982
Mn: 0.7027 0.0991 0.8018
Mn: 0.9009 0.7027 0.6036
Zn: 0.0632 0.1613 0.7061
Zn: 0.1613 0.4553 0.0982
Zn: 0.2500 0.7500 0.5000
Zn: 0.3571 0.0632 0.9018
Zn: 0.4553 0.3571 0.2939
Zn: 0.5447 0.6429 0.7061
Zn: 0.6429 0.9368 0.0982
Zn: 0.7500 0.2500 0.5000
Zn: 0.8387 0.5447 0.9018
Zn: 0.9368 0.8387 0.2939
Fe: 0.5000 0.5000 0.0000

2.
Diffraction record for MnZnFe3. The powder diffraction line list is computed, not measured: it uses the PBE geometry in Alexandria and copper Kα.
Neutral-atom scattering factors, no anomalous dispersion.

Principal peaks in the range 2θ from 10° to 90°, by intensity:
two_theta, d/Å, I_rel
42.79, 2.113, 100
50.05, 1.823, 51
43.54, 2.079, 36
44.57, 2.033, 33
27.71, 3.219, 23
34.50, 2.600, 22
51.63, 1.770, 21
39.99, 2.254, 19
14.20, 6.236, 16
42.01, 2.151, 16

Cell lengths 6.7691, 6.7691, 4.3010 Å; angles 90.00, 90.00, 134.20 degrees
Fractional positions:
Mn: 0.1341 0.8659 0.7500
Mn: 0.8659 0.1341 0.2500
Zn: 0.3550 0.3550 0.5000
Zn: 0.6450 0.6450 0.0000
Fe: 0.0892 0.4400 0.7555
Fe: 0.3270 0.6730 0.2500
Fe: 0.4400 0.0892 0.2445
Fe: 0.5600 0.9108 0.7445
Fe: 0.6730 0.3270 0.7500
Fe: 0.9108 0.5600 0.2555

3.
Diffraction record for Fe2Mo. The powder diffraction line list is computed, not measured: it uses the PBE geometry in Alexandria and copper Kα.
Neutral-atom scattering factors, no anomalous dispersion.

Principal peaks in the range 2θ from 10° to 90°, by intensity:
two_theta, d/Å, I_rel
45.27, 2.003, 100
41.55, 2.173, 73
46.26, 1.963, 55
38.42, 2.343, 50
71.62, 1.318, 25
82.30, 1.172, 24
74.29, 1.277, 21
77.71, 1.229, 21
45.06, 2.012, 20
46.88, 1.938, 16

Cell lengths 4.6863, 4.6863, 15.4422 Å; angles 90.00, 90.00, 120.00 degrees
Fractional positions:
Fe: 0.0000 0.5000 0.0000
Fe: 0.0000 0.5000 0.5000
Fe: 0.1628 0.3255 0.2500
Fe: 0.1628 0.8372 0.2500
Fe: 0.3255 0.1628 0.7500
Fe: 0.3333 0.6667 0.1280
Fe: 0.3333 0.6667 0.3720
Fe: 0.5000 0.0000 0.0000
Fe: 0.5000 0.0000 0.5000
Fe: 0.5000 0.5000 0.0000
Fe: 0.5000 0.5000 0.5000
Fe: 0.6667 0.3333 0.6280
Fe: 0.6667 0.3333 0.8720
Fe: 0.6745 0.8372 0.2500
Fe: 0.8372 0.1628 0.7500
Fe: 0.8372 0.6745 0.7500
Mo: 0.0000 0.0000 0.0920
Mo: 0.0000 0.0000 0.4080
Mo: 0.0000 0.0000 0.5920
Mo: 0.0000 0.0000 0.9080
Mo: 0.3333 0.6667 0.6571
Mo: 0.3333 0.6667 0.8429
Mo: 0.6667 0.3333 0.1571
Mo: 0.6667 0.3333 0.3429

4.
Diffraction record for FeMo. The powder diffraction line list is computed, not measured: it uses the PBE geometry in Alexandria and copper Kα.
Neutral-atom scattering factors, no anomalous dispersion.

Principal peaks in the range 2θ from 10° to 90°, by intensity:
two_theta, d/Å, I_rel
44.83, 2.022, 100
40.67, 2.218, 32
42.31, 2.136, 31
39.30, 2.293, 24
40.28, 2.239, 22
39.97, 2.256, 16
48.77, 1.867, 14
72.80, 1.299, 14
36.75, 2.445, 13
52.99, 1.728, 10

Cell lengths 2.6292, 7.0265, 7.0265 Å; angles 142.55, 90.00, 90.00 degrees
Fractional positions:
Fe: 0.0000 0.0000 0.0000
Fe: 0.5000 0.6877 0.9737
Fe: 0.5000 0.9737 0.6877
Mo: 0.0000 0.1310 0.5002
Mo: 0.0000 0.5002 0.1310
Mo: 0.5000 0.4888 0.4888